(1)
Zr6Tl3Pt: calculated powder XRD pattern (Cu Kα), based on DFT lattice parameters and positions (GGA-PBE).
Peak positions follow from Bragg's law for the DFT cell and can differ from measured ones.

Structural model:
abc: 5.9945 5.9945 7.8422
angles: 105.47 105.47 61.03
Sites, in units of the cell vectors:
1 Zr 0.1073 0.6159 0.1764
2 Zr 0.1332 0.1332 0.4228
3 Zr 0.3841 0.8927 0.8236
4 Zr 0.6159 0.1073 0.1764
5 Zr 0.8668 0.8668 0.5772
6 Zr 0.8927 0.3841 0.8236
7 Tl 0.3762 0.3762 0.8013
8 Tl 0.5000 0.5000 0.5000
9 Tl 0.6238 0.6238 0.1987
10 Pt 0.0000 0.0000 0.0000

Top 6 peaks for 10 to 80 degrees two-theta, sorted by position:
2θ (°)  Rel. int.
22.46  68
31.78  69
34.80  100
36.34  89
37.50  96
38.65  62

=====

(2)
Tm6Pt5: calculated powder XRD pattern (Cu Kα), based on DFT lattice parameters and positions (GGA-PBE).
Peak positions follow from Bragg's law for the DFT cell and can differ from measured ones.

Structural model:
abc: 8.4188 8.4188 8.4188
angles: 146.61 131.76 59.94
Sites, in units of the cell vectors:
1 Tm 0.0832 0.3345 0.7487
2 Tm 0.2480 0.0000 0.2480
3 Tm 0.4142 0.6655 0.7487
4 Tm 0.5858 0.3345 0.2513
5 Tm 0.7520 0.0000 0.7520
6 Tm 0.9168 0.6655 0.2513
7 Pt 0.0000 0.5000 0.5000
8 Pt 0.1727 0.1727 0.0000
9 Pt 0.3377 0.8377 0.5000
10 Pt 0.6623 0.1623 0.5000
11 Pt 0.8273 0.8273 0.0000

Top 6 peaks for 10 to 80 degrees two-theta, sorted by position:
2θ (°)  Rel. int.
37.01  100
37.17  20
53.44  14
66.64  21
66.91  14
78.80  11